[1]
Calculated XRD peak list
Compound: TlCd3Se4
Radiation: Cu Kα
Structure: a cell relaxed with GGA-PBE
No peak broadening, texture or thermal motion is included.

Structural model:
```
TlCd3Se4
1.0
6.3255 0.0000 0.0000
0.0000 6.3255 0.0000
0.0000 0.0000 6.3255
Tl Cd Se
1 3 4
direct
0.0000 0.0000 0.0000
0.0000 0.5000 0.5000
0.5000 0.0000 0.5000
0.5000 0.5000 0.0000
0.2616 0.2616 0.2616
0.2616 0.7384 0.7384
0.7384 0.2616 0.7384
0.7384 0.7384 0.2616
```

Top 6 peaks for 10 to 90 degrees two-theta, low angle first:
24.4°, I 1000
40.3°, I 730
47.7°, I 479
64.2°, I 190
73.3°, I 236
78.6°, I 141



[2]
Calculated XRD peak list
Compound: TlCd2Se3
Radiation: Cu Kα
Structure: a cell relaxed with GGA-PBE
No peak broadening, texture or thermal motion is included.

Structural model:
```
TlCd2Se3
1.0
3.8675 -6.7532 0.0000
3.8675 6.7532 0.0000
-2.6724 0.0000 7.4131
Tl Cd Se
2 4 6
direct
0.0922 0.9078 0.5000
0.9078 0.0922 0.0000
0.2545 0.7483 0.0069
0.4229 0.5849 0.5076
0.5849 0.4229 0.0076
0.7483 0.2545 0.5069
0.1360 0.6071 0.6423
0.3135 0.4795 0.1425
0.4795 0.3135 0.6425
0.6071 0.1360 0.1423
0.7851 0.9609 0.6139
0.9609 0.7851 0.1139
```

Top 6 peaks for 10 to 90 degrees two-theta, low angle first:
24.0°, I 493
24.2°, I 1000
24.5°, I 514
39.7°, I 490
40.3°, I 473
47.2°, I 484



[3]
Calculated XRD peak list
Compound: TlCdSe2
Radiation: Cu Kα
Structure: a cell relaxed with GGA-PBE
No peak broadening, texture or thermal motion is included.

Structural model:
```
TlCdSe2
1.0
4.0900 0.0000 0.0000
-2.0450 3.5421 0.0000
0.0000 0.0000 21.7537
Tl Cd Se
3 3 6
direct
0.0000 0.0000 0.0000
0.3333 0.6667 0.6667
0.6667 0.3333 0.3333
0.0000 0.0000 0.8314
0.3333 0.6667 0.4980
0.6667 0.3333 0.1647
0.0000 0.0000 0.2389
0.0000 0.0000 0.4264
0.3333 0.6667 0.0930
0.3333 0.6667 0.9056
0.6667 0.3333 0.5722
0.6667 0.3333 0.7597
```

Top 6 peaks for 10 to 90 degrees two-theta, low angle first:
25.5°, I 392
26.5°, I 344
30.1°, I 290
32.6°, I 1000
38.5°, I 435
44.3°, I 559



[4]
Calculated XRD peak list
Compound: Tm4CdSe7
Radiation: Cu Kα
Structure: a cell relaxed with GGA-PBE
No peak broadening, texture or thermal motion is included.

Structural model:
```
Tm4CdSe7
1.0
6.5779 -1.9713 0.0000
6.5779 1.9713 0.0000
-3.2587 0.0000 11.6587
Tm Cd Se
4 1 7
direct
0.0000 0.0000 0.0000
0.3867 0.3867 0.6005
0.5927 0.5927 0.3855
0.6948 0.6948 0.8148
0.8205 0.8205 0.2305
0.0351 0.0351 0.7572
0.2288 0.2288 0.3477
0.3560 0.3560 0.8582
0.4517 0.4517 0.1621
0.6605 0.6605 0.0305
0.7369 0.7369 0.6020
0.9672 0.9672 0.4571
```

Top 6 peaks for 10 to 90 degrees two-theta, low angle first:
23.4°, I 1000
30.6°, I 501
31.0°, I 424
32.0°, I 633
33.4°, I 430
45.7°, I 535



[5]
Calculated XRD peak list
Compound: YCdSe2
Radiation: Cu Kα
Structure: a cell relaxed with GGA-PBE
No peak broadening, texture or thermal motion is included.

Structural model:
```
YCdSe2
1.0
4.0996 0.0000 0.0000
0.0000 4.0996 0.0000
0.0000 0.0000 5.9158
Y Cd Se
1 1 2
direct
0.0000 0.0000 0.0000
0.5000 0.5000 0.5000
0.0000 0.0000 0.5000
0.5000 0.5000 0.0000
```

Top 6 peaks for 10 to 90 degrees two-theta, low angle first:
30.2°, I 528
30.8°, I 1000
43.7°, I 750
44.2°, I 363
54.5°, I 385
81.0°, I 239



[6]
Calculated XRD peak list
Compound: Y4CdSe2
Radiation: Cu Kα
Structure: a cell relaxed with GGA-PBE
No peak broadening, texture or thermal motion is included.

Structural model:
```
Y4CdSe2
1.0
2.0489 -6.6299 0.0000
2.0489 6.6299 0.0000
0.0000 0.0000 14.0258
Y Cd Se
8 2 4
direct
0.0000 0.0000 0.0000
0.0000 0.0000 0.5000
0.2706 0.7294 0.6225
0.2706 0.7294 0.8775
0.4333 0.5667 0.2500
0.5667 0.4333 0.7500
0.7294 0.2706 0.1225
0.7294 0.2706 0.3775
0.1088 0.8912 0.2500
0.8912 0.1088 0.7500
0.3635 0.6365 0.0586
0.3635 0.6365 0.4414
0.6365 0.3635 0.5586
0.6365 0.3635 0.9414
```

Top 6 peaks for 10 to 90 degrees two-theta, low angle first:
28.8°, I 619
29.8°, I 429
30.4°, I 1000
32.4°, I 557
39.5°, I 512
44.2°, I 395



[7]
Calculated XRD peak list
Compound: Zn4CdSe5
Radiation: Cu Kα
Structure: a cell relaxed with GGA-PBE
No peak broadening, texture or thermal motion is included.

Structural model:
```
Zn4CdSe5
1.0
4.1077 0.0000 0.0000
-2.0539 3.5574 0.0000
0.0000 0.0000 33.9142
Zn Cd Se
8 2 10
direct
0.0000 0.0000 0.0000
0.0000 0.0000 0.1943
0.0000 0.0000 0.3888
0.0000 0.0000 0.5832
0.0000 0.0000 0.7916
0.6667 0.3333 0.0970
0.6667 0.3333 0.2915
0.6667 0.3333 0.4860
0.6667 0.3333 0.6857
0.6667 0.3333 0.8940
0.0000 0.0000 0.1209
0.0000 0.0000 0.3154
0.0000 0.0000 0.5098
0.0000 0.0000 0.7186
0.0000 0.0000 0.9269
0.6667 0.3333 0.0236
0.6667 0.3333 0.2181
0.6667 0.3333 0.4126
0.6667 0.3333 0.6070
0.6667 0.3333 0.8153
```

Top 6 peaks for 10 to 90 degrees two-theta, low angle first:
25.0°, I 1000
26.3°, I 499
28.3°, I 655
44.1°, I 848
47.7°, I 680
52.1°, I 435



Question: Which formula does entry 3 have?
Answer: TlCdSe2